Calculated powder X-ray diffraction pattern
Compound: TiIn2O5
Radiation: Cu Kα X-rays
Structure: a structure optimized by DFT (PBE)
Intensities are scaled so that the largest is 100.

Main lines, low angle first (10° ≤ 2θ ≤ 90°):
(hkl), 2θ/deg, I (rel.)
2 0 3, 29.98, 91.5
0 1 3, 30.86, 100.0
2 1 0, 35.14, 37.4
0 0 6, 35.53, 21.3
2 1 6, 50.84, 48.4
0 1 9, 60.92, 34.1

Crystal structure
```
TiIn2O5
1.0
7.3824 0.0000 0.0000
0.0000 3.5364 0.0000
0.0000 0.0000 15.1607
Ti In O
4 8 20
Direct
0.1078 0.2500 0.0780
0.3922 0.7500 0.5780
0.6078 0.2500 0.4220
0.8922 0.7500 0.9220
0.0986 0.2500 0.4165
0.1753 0.2500 0.7608
0.3247 0.7500 0.2608
0.4014 0.7500 0.9165
0.5986 0.2500 0.0835
0.6753 0.2500 0.7392
0.8247 0.7500 0.2392
0.9014 0.7500 0.5835
0.0576 0.7500 0.3245
0.0710 0.7500 0.0465
0.1310 0.7500 0.8514
0.1546 0.7500 0.5049
0.2366 0.2500 0.1805
0.2634 0.7500 0.6805
0.3454 0.2500 0.0049
0.3690 0.2500 0.3514
0.4290 0.2500 0.5465
0.4424 0.2500 0.8245
0.5576 0.7500 0.1755
0.5710 0.7500 0.4535
0.6310 0.7500 0.6486
0.6546 0.7500 0.9951
0.7366 0.2500 0.3195
0.7634 0.7500 0.8195
0.8454 0.2500 0.4951
0.8690 0.2500 0.1486
0.9290 0.2500 0.9535
0.9424 0.2500 0.6755
```